Diffraction record for BaYF5. The powder X-ray diffraction pattern is computed, not measured: it uses a DFT-relaxed cell (GGA-PBE, the Materials Project) and a wavelength of 1.5418 Å.
Intensities are scaled so that the largest is 1000.

Atomic structure:
```
BaYF5
1.0
7.547 0.000 0.000
3.148 8.178 0.000
2.759 1.406 10.575
Ba Y F
6 6 30
direct
0.209 0.005 0.277 Ba
0.240 0.638 0.570 Ba
0.275 0.298 0.940 Ba
0.725 0.702 0.060 Ba
0.760 0.362 0.430 Ba
0.791 0.995 0.723 Ba
0.216 0.521 0.241 Y
0.243 0.836 0.927 Y
0.272 0.154 0.584 Y
0.728 0.846 0.416 Y
0.757 0.164 0.073 Y
0.784 0.479 0.759 Y
0.082 0.741 0.361 F
0.104 0.062 0.044 F
0.125 0.391 0.714 F
0.126 0.617 0.040 F
0.141 0.358 0.431 F
0.148 0.320 0.189 F
0.159 0.975 0.539 F
0.177 0.757 0.775 F
0.180 0.065 0.786 F
0.336 0.743 0.129 F
0.431 0.485 0.358 F
0.465 0.084 0.390 F
0.489 0.384 0.114 F
0.489 0.939 0.900 F
0.498 0.239 0.616 F
0.502 0.761 0.384 F
0.511 0.061 0.100 F
0.511 0.616 0.886 F
0.535 0.916 0.610 F
0.569 0.515 0.642 F
0.664 0.257 0.871 F
0.820 0.935 0.214 F
0.823 0.243 0.225 F
0.841 0.025 0.461 F
0.852 0.680 0.811 F
0.859 0.642 0.569 F
0.874 0.383 0.960 F
0.875 0.609 0.286 F
0.896 0.938 0.956 F
0.918 0.259 0.639 F
```

Most intense lines, 15 to 90 degrees two-theta, in order of rising 2θ:
d = 3.558 Å, 2θ 25.03, I = 579; d = 3.450 Å, 2θ 25.82, I = 1000; d = 3.417 Å, 2θ 26.08, I = 436; d = 3.151 Å, 2θ 28.33, I = 347; d = 2.952 Å, 2θ 30.28, I = 291; d = 2.921 Å, 2θ 30.60, I = 281; d = 2.185 Å, 2θ 41.32, I = 160; d = 2.179 Å, 2θ 41.44, I = 164; d = 2.108 Å, 2θ 42.91, I = 166; d = 2.092 Å, 2θ 43.25, I = 167; d = 2.062 Å, 2θ 43.92, I = 164; d = 1.778 Å, 2θ 51.38, I = 227

Diffraction record for Er3InC. The powder X-ray diffraction pattern is computed, not measured: it uses a DFT-relaxed cell (GGA-PBE, the Materials Project) and a wavelength of 1.5418 Å.
Intensities are scaled so that the largest is 1000.

Atomic structure:
```
Er3InC
1.0
5.534 0.000 0.000
0.000 5.534 0.000
0.000 0.000 5.534
Er In C
3 1 1
direct
0.000 0.000 0.500 Er
0.000 0.500 0.000 Er
0.500 0.000 0.000 Er
0.000 0.000 0.000 In
0.500 0.500 0.500 C
```

Most intense lines, 15 to 90 degrees two-theta, in order of rising 2θ:
d = 5.534 Å, 2θ 16.02, I = 1000; d = 3.195 Å, 2θ 27.93, I = 742; d = 2.767 Å, 2θ 32.36, I = 976; d = 2.475 Å, 2θ 36.30, I = 544; d = 1.956 Å, 2θ 46.41, I = 713; d = 1.845 Å, 2θ 49.41, I = 284; d = 1.668 Å, 2θ 55.04, I = 341; d = 1.597 Å, 2θ 57.71, I = 248; d = 1.342 Å, 2θ 70.12, I = 159; d = 1.270 Å, 2θ 74.78, I = 138; d = 1.237 Å, 2θ 77.08, I = 317; d = 1.130 Å, 2θ 86.08, I = 244

Diffraction record for YZn20Ru2. The powder X-ray diffraction pattern is computed, not measured: it uses a DFT-relaxed cell (GGA-PBE, the Materials Project) and a wavelength of 1.5418 Å.
Intensities are scaled so that the largest is 1000.

Atomic structure:
```
YZn20Ru2
1.0
0.000 7.141 7.141
7.141 0.000 7.141
7.141 7.141 0.000
Y Zn Ru
2 40 4
direct
0.125 0.125 0.125 Y
0.875 0.875 0.875 Y
0.000 0.000 0.000 Zn
0.000 0.000 0.500 Zn
0.000 0.500 0.000 Zn
0.056 0.325 0.325 Zn
0.056 0.325 0.793 Zn
0.056 0.793 0.325 Zn
0.207 0.675 0.675 Zn
0.207 0.675 0.944 Zn
0.207 0.944 0.675 Zn
0.239 0.239 0.511 Zn
0.239 0.511 0.239 Zn
0.239 0.511 0.511 Zn
0.325 0.056 0.325 Zn
0.325 0.056 0.793 Zn
0.325 0.325 0.056 Zn
0.325 0.325 0.793 Zn
0.325 0.793 0.056 Zn
0.325 0.793 0.325 Zn
0.489 0.489 0.761 Zn
0.489 0.761 0.489 Zn
0.489 0.761 0.761 Zn
0.500 0.000 0.000 Zn
0.511 0.239 0.239 Zn
0.511 0.239 0.511 Zn
0.511 0.511 0.239 Zn
0.675 0.207 0.675 Zn
0.675 0.207 0.944 Zn
0.675 0.675 0.207 Zn
0.675 0.675 0.944 Zn
0.675 0.944 0.207 Zn
0.675 0.944 0.675 Zn
0.761 0.489 0.489 Zn
0.761 0.489 0.761 Zn
0.761 0.761 0.489 Zn
0.793 0.056 0.325 Zn
0.793 0.325 0.056 Zn
0.793 0.325 0.325 Zn
0.944 0.207 0.675 Zn
0.944 0.675 0.207 Zn
0.944 0.675 0.675 Zn
0.000 0.500 0.500 Ru
0.500 0.000 0.500 Ru
0.500 0.500 0.000 Ru
0.500 0.500 0.500 Ru
```

Most intense lines, 15 to 90 degrees two-theta, in order of rising 2θ:
d = 2.525 Å, 2θ 35.56, I = 166; d = 2.414 Å, 2θ 37.25, I = 746; d = 2.380 Å, 2θ 37.79, I = 174; d = 2.258 Å, 2θ 39.92, I = 357; d = 2.178 Å, 2θ 41.46, I = 820; d = 2.153 Å, 2θ 41.96, I = 1000; d = 2.061 Å, 2θ 43.92, I = 310; d = 2.000 Å, 2θ 45.35, I = 419; d = 1.683 Å, 2θ 54.52, I = 235; d = 1.374 Å, 2θ 68.24, I = 236; d = 1.262 Å, 2θ 75.28, I = 465; d = 1.211 Å, 2θ 79.05, I = 211

Diffraction record for Li2CuCSO7. The powder X-ray diffraction pattern is computed, not measured: it uses a DFT-relaxed cell (GGA-PBE, the Materials Project) and a wavelength of 1.5418 Å.
Intensities are scaled so that the largest is 1000.

Atomic structure:
```
Li2CuCSO7
1.0
5.003 0.000 0.000
0.000 6.504 0.000
-0.440 0.000 8.464
Li Cu C S O
4 2 2 2 14
direct
0.224 0.015 0.289 Li
0.224 0.485 0.289 Li
0.776 0.515 0.711 Li
0.776 0.985 0.711 Li
0.232 0.750 0.855 Cu
0.768 0.250 0.145 Cu
0.278 0.750 0.560 C
0.722 0.250 0.440 C
0.284 0.250 0.919 S
0.716 0.750 0.081 S
0.055 0.750 0.637 O
0.184 0.067 0.830 O
0.184 0.433 0.830 O
0.193 0.250 0.083 O
0.273 0.750 0.410 O
0.413 0.750 0.070 O
0.497 0.750 0.649 O
0.503 0.250 0.351 O
0.587 0.250 0.930 O
0.727 0.250 0.590 O
0.807 0.750 0.917 O
0.816 0.567 0.170 O
0.816 0.933 0.170 O
0.945 0.250 0.363 O
```

Most intense lines, 15 to 90 degrees two-theta, in order of rising 2θ:
d = 5.157 Å, 2θ 17.19, I = 533; d = 4.404 Å, 2θ 20.16, I = 440; d = 4.208 Å, 2θ 21.11, I = 400; d = 3.962 Å, 2θ 22.44, I = 274; d = 3.315 Å, 2θ 26.89, I = 605; d = 3.252 Å, 2θ 27.43, I = 1000; d = 3.150 Å, 2θ 28.34, I = 238; d = 2.498 Å, 2θ 35.95, I = 288; d = 2.430 Å, 2θ 36.99, I = 183; d = 2.116 Å, 2θ 42.73, I = 175; d = 2.086 Å, 2θ 43.39, I = 172; d = 1.988 Å, 2θ 45.62, I = 174

Diffraction record for Sm3HoS4. The powder X-ray diffraction pattern is computed, not measured: it uses a DFT-relaxed cell (GGA-PBE, the Materials Project) and a wavelength of 1.5418 Å.
Intensities are scaled so that the largest is 1000.

Atomic structure:
```
Sm3HoS4
1.0
1.981 1.144 13.075
-1.981 1.144 13.075
0.000 -2.288 13.075
Sm Ho S
3 1 4
direct
0.000 0.000 0.000 Sm
0.249 0.249 0.249 Sm
0.751 0.751 0.751 Sm
0.500 0.500 0.500 Ho
0.128 0.128 0.128 S
0.375 0.375 0.375 S
0.625 0.625 0.625 S
0.872 0.872 0.872 S
```

Most intense lines, 15 to 90 degrees two-theta, in order of rising 2θ:
d = 3.269 Å, 2θ 27.28, I = 201; d = 3.239 Å, 2θ 27.54, I = 587; d = 2.812 Å, 2θ 31.83, I = 1000; d = 1.995 Å, 2θ 45.47, I = 363; d = 1.981 Å, 2θ 45.80, I = 358; d = 1.703 Å, 2θ 53.84, I = 99; d = 1.694 Å, 2θ 54.13, I = 194; d = 1.620 Å, 2θ 56.85, I = 187; d = 1.406 Å, 2θ 66.52, I = 115; d = 1.261 Å, 2θ 75.39, I = 159; d = 1.254 Å, 2θ 75.88, I = 159; d = 1.146 Å, 2θ 84.51, I = 122

Diffraction record for Ti2Pd3. The powder X-ray diffraction pattern is computed, not measured: it uses a DFT-relaxed cell (GGA-PBE, the Materials Project) and a wavelength of 1.5418 Å.
Intensities are scaled so that the largest is 1000.

Atomic structure:
```
Ti2Pd3
1.0
7.177 -2.373 0.000
7.177 2.373 0.000
0.000 0.000 4.630
Ti Pd
4 6
direct
0.119 0.665 0.750 Ti
0.335 0.881 0.750 Ti
0.665 0.119 0.250 Ti
0.881 0.335 0.250 Ti
0.091 0.519 0.250 Pd
0.297 0.703 0.250 Pd
0.481 0.909 0.250 Pd
0.519 0.091 0.750 Pd
0.703 0.297 0.750 Pd
0.909 0.481 0.750 Pd
```

Most intense lines, 15 to 90 degrees two-theta, in order of rising 2θ:
d = 3.229 Å, 2θ 27.62, I = 195; d = 2.373 Å, 2θ 37.91, I = 285; d = 2.315 Å, 2θ 38.90, I = 330; d = 2.170 Å, 2θ 41.62, I = 1000; d = 2.112 Å, 2θ 42.82, I = 94; d = 1.657 Å, 2θ 55.45, I = 181; d = 1.435 Å, 2θ 64.97, I = 63; d = 1.327 Å, 2θ 71.00, I = 120; d = 1.307 Å, 2θ 72.31, I = 183; d = 1.228 Å, 2θ 77.76, I = 57; d = 1.220 Å, 2θ 78.39, I = 71; d = 1.189 Å, 2θ 80.84, I = 55